Entry 1:
Computed powder diffractogram
Compound: KRb2Fe2F7
Radiation: Cu Kα (weighted mean of Kα1 and Kα2)
Structure: a PBE+U-relaxed structure

The 10 most intense peaks (2θ = 10–80°), low angle first:
| d_spacing | 2θ/deg | Rel. int. |
| --- | --- | --- |
| 5.645 | 15.70 | 13 |
| 3.661 | 24.31 | 15 |
| 3.071 | 29.07 | 100 |
| 3.007 | 29.71 | 35 |
| 2.921 | 30.61 | 33 |
| 2.258 | 39.93 | 22 |
| 2.095 | 43.19 | 54 |
| 1.748 | 52.34 | 19 |
| 1.714 | 53.47 | 18 |
| 1.536 | 60.27 | 23 |

Lattice parameters (Å, degrees): 11.6828 11.6610 4.1915 79.95 79.36 20.69
Positions (direct):
K1 0.0000 0.0000 0.0000
Rb1 0.1858 0.1858 0.8142
Rb2 0.8142 0.8142 0.1858
Fe1 0.4061 0.4061 0.5939
Fe2 0.5939 0.5939 0.4061
F1 0.0924 0.0924 0.4076
F2 0.3118 0.3118 0.6882
F3 0.4076 0.4076 0.0924
F4 0.5000 0.5000 0.5000
F5 0.5924 0.5924 0.9076
F6 0.6882 0.6882 0.3118
F7 0.9076 0.9076 0.5924

Entry 2:
Computed powder diffractogram
Compound: KTbFeF6
Radiation: Cu Kα (weighted mean of Kα1 and Kα2)
Structure: a PBE+U-relaxed structure

The 10 most intense peaks (2θ = 10–80°), low angle first:
| d_spacing | 2θ/deg | Rel. int. |
| --- | --- | --- |
| 5.580 | 15.88 | 91 |
| 5.062 | 17.52 | 42 |
| 4.984 | 17.79 | 21 |
| 3.749 | 23.73 | 100 |
| 3.717 | 23.94 | 50 |
| 2.892 | 30.92 | 34 |
| 2.602 | 34.47 | 21 |
| 2.567 | 34.96 | 41 |
| 2.305 | 39.08 | 24 |
| 2.008 | 45.16 | 53 |

Lattice parameters (Å, degrees): 5.7859 5.7859 5.5801 90.08 90.08 118.96
Positions (direct):
K1 0.0000 0.0000 0.0000
Tb1 0.6667 0.3332 0.5000
Fe1 0.3304 0.6696 0.5000
F1 0.0100 0.3780 0.7072
F2 0.0107 0.6256 0.2921
F3 0.3623 0.3782 0.2967
F4 0.3744 0.9893 0.7079
F5 0.6218 0.6377 0.7033
F6 0.6220 0.9900 0.2928

Entry 3:
Computed powder diffractogram
Compound: K2VFeF6
Radiation: Cu Kα (weighted mean of Kα1 and Kα2)
Structure: a PBE+U-relaxed structure

The 10 most intense peaks (2θ = 10–80°), low angle first:
| d_spacing | 2θ/deg | Rel. int. |
| --- | --- | --- |
| 4.225 | 21.02 | 13 |
| 4.189 | 21.21 | 25 |
| 2.988 | 29.90 | 25 |
| 2.975 | 30.04 | 100 |
| 2.936 | 30.44 | 24 |
| 2.113 | 42.80 | 36 |
| 2.094 | 43.20 | 70 |
| 1.723 | 53.14 | 27 |
| 1.703 | 53.85 | 17 |
| 1.487 | 62.44 | 39 |

Lattice parameters (Å, degrees): 5.9502 5.9502 5.9502 120.86 119.71 89.51
Positions (direct):
K1 0.2485 0.2485 0.0000
K2 0.7515 0.7515 0.0000
V1 0.5000 0.0000 0.5000
Fe1 0.0000 0.5000 0.5000
F1 0.2496 0.2548 0.5045
F2 0.2496 0.7452 0.9948
F3 0.2504 0.7504 0.5000
F4 0.7496 0.2496 0.5000
F5 0.7504 0.2548 0.0052
F6 0.7504 0.7452 0.4955

Repeat the second record exactly.
Computed powder diffractogram
Compound: KTbFeF6
Radiation: Cu Kα (weighted mean of Kα1 and Kα2)
Structure: a PBE+U-relaxed structure

The 10 most intense peaks (2θ = 10–80°), low angle first:
| d_spacing | 2θ/deg | Rel. int. |
| --- | --- | --- |
| 5.580 | 15.88 | 91 |
| 5.062 | 17.52 | 42 |
| 4.984 | 17.79 | 21 |
| 3.749 | 23.73 | 100 |
| 3.717 | 23.94 | 50 |
| 2.892 | 30.92 | 34 |
| 2.602 | 34.47 | 21 |
| 2.567 | 34.96 | 41 |
| 2.305 | 39.08 | 24 |
| 2.008 | 45.16 | 53 |

Lattice parameters (Å, degrees): 5.7859 5.7859 5.5801 90.08 90.08 118.96
Positions (direct):
K1 0.0000 0.0000 0.0000
Tb1 0.6667 0.3332 0.5000
Fe1 0.3304 0.6696 0.5000
F1 0.0100 0.3780 0.7072
F2 0.0107 0.6256 0.2921
F3 0.3623 0.3782 0.2967
F4 0.3744 0.9893 0.7079
F5 0.6218 0.6377 0.7033
F6 0.6220 0.9900 0.2928

What is the formula in the third record? K2VFeF6